Diffraction record for CsRb2ReI8. The PXRD pattern is calculated, not measured: it uses a cell relaxed with PBE and CuKα.

abc: 6.8654 7.9736 10.5024
angles: 89.86 74.46 89.32
Space group P-1 (No. 2)
Symmetry-distinct sites (fractional):
Cs  0.0000  0.0000  0.0000
Rb  0.3265  0.4966  0.3180
Re  0.0000  0.0000  0.5000
I  0.1653  0.2403  0.6256
I  0.1674  0.7566  0.6256
I  0.2498  0.4998  0.9910
I  0.3334  0.9978  0.2852

Main lines, by angle (2θ = 5–70°):
2θ 8.74, I 80.2; 2θ 13.39, I 52.0; 2θ 14.14, I 66.9; 2θ 26.44, I 81.1; 2θ 28.60, I 47.5; 2θ 29.36, I 100.0; 2θ 29.58, I 83.6; 2θ 45.51, I 46.1

=====

Diffraction record for Cs2RbSrI5. The PXRD pattern is calculated, not measured: it uses a cell relaxed with PBE and CuKα.

abc: 6.2770 8.9228 18.7156
angles: 90.00 90.00 90.00
Space group Immm (No. 71)
Symmetry-distinct sites (fractional):
Cs  0.0000  0.0000  0.2048
Rb  0.0000  0.5000  0.0000
Sr  0.0000  0.5000  0.5000
I  0.0000  0.0000  0.0000
I  0.0000  0.2456  0.3733

Main lines, by angle (2θ = 5–70°):
2θ 10.99, I 35.1; 2θ 19.72, I 37.6; 2θ 24.94, I 88.5; 2θ 27.63, I 94.5; 2θ 27.75, I 57.8; 2θ 28.43, I 100.0; 2θ 40.07, I 68.7; 2θ 66.18, I 24.9

=====

Diffraction record for CsRb2ThI8. The PXRD pattern is calculated, not measured: it uses a cell relaxed with PBE and CuKα.

abc: 6.7979 8.5189 10.8813
angles: 89.55 72.16 89.58
Space group P-1 (No. 2)
Symmetry-distinct sites (fractional):
Cs  0.0000  0.0000  0.0000
Rb  0.3346  0.4908  0.3124
Th  0.0000  0.0000  0.5000
I  0.1810  0.2511  0.6346
I  0.1940  0.7364  0.6198
I  0.2473  0.5001  0.9982
I  0.3646  0.0144  0.2474

Main lines, by angle (2θ = 5–70°):
2θ 8.54, I 33.0; 2θ 25.12, I 60.0; 2θ 27.23, I 27.3; 2θ 27.82, I 100.0; 2θ 28.06, I 46.6; 2θ 29.51, I 28.9; 2θ 40.67, I 29.4; 2θ 42.45, I 28.6

=====

Diffraction record for Cs3Re3S4I4. The PXRD pattern is calculated, not measured: it uses a cell relaxed with PBE and CuKα.

abc: 16.3673 16.3673 16.3673
angles: 90.00 90.00 90.00
Space group Fm-3m (No. 225)
Symmetry-distinct sites (fractional):
Cs  0.0000  0.2500  0.2500
Re  0.0000  0.0000  0.1134
S  0.1045  0.1045  0.1045
I  0.0000  0.0000  0.2848
I  0.2500  0.2500  0.2500

Main lines, by angle (2θ = 5–70°):
2θ 9.36, I 100.0; 2θ 10.81, I 32.2; 2θ 21.72, I 59.8; 2θ 30.91, I 31.9; 2θ 32.83, I 26.3; 2θ 42.42, I 26.7; 2θ 44.27, I 19.2; 2θ 49.83, I 19.7